Record 1
Computed PXRD pattern
Compound: Ca2MgP2H4O10
Radiation: copper Kα
Structure: a crystal structure in the Materials Project, relaxed with PBE
Lines closer than 0.1° are merged.

Cell and atoms:
a = 5.513 Å, b = 5.774 Å, c = 6.886 Å
α = 107.64°, β = 97.10°, γ = 108.74°
Element x y z (fractional)
1 Ca 0.152 0.299 0.260
2 Ca 0.848 0.701 0.740
3 Mg 0.500 0.000 0.500
4 P 0.163 0.336 0.743
5 P 0.837 0.664 0.257
6 H 0.354 0.876 0.102
7 H 0.420 0.829 0.816
8 H 0.580 0.171 0.184
9 H 0.646 0.124 0.898
10 O 0.097 0.743 0.426
11 O 0.133 0.161 0.875
12 O 0.222 0.627 0.884
13 O 0.391 0.333 0.627
14 O 0.432 0.050 0.223
15 O 0.568 0.950 0.777
16 O 0.609 0.667 0.373
17 O 0.778 0.373 0.116
18 O 0.867 0.839 0.125
19 O 0.903 0.257 0.574

Principal peaks in the range 2θ = 10–90°, sorted by position:
d = 5.062 Å, 17.52 deg, I = 22; d = 3.291 Å, 27.10 deg, I = 28; d = 3.181 Å, 28.05 deg, I = 44; d = 3.055 Å, 29.23 deg, I = 100; d = 2.769 Å, 32.33 deg, I = 36; d = 2.749 Å, 32.57 deg, I = 27; d = 2.727 Å, 32.84 deg, I = 49; d = 2.713 Å, 33.01 deg, I = 45; d = 2.275 Å, 39.62 deg, I = 23; d = 1.687 Å, 54.38 deg, I = 30

---

Record 2
Computed PXRD pattern
Compound: Na2YZrP3O12
Radiation: copper Kα
Structure: a crystal structure in the Materials Project, relaxed with PBE
Lines closer than 0.1° are merged.

Cell and atoms:
a = 9.149 Å, b = 9.149 Å, c = 9.480 Å
α = 119.22°, β = 119.22°, γ = 59.49°
Element x y z (fractional)
1 Na 0.004 0.502 0.251
2 Na 0.109 0.891 0.500
3 Na 0.502 0.004 0.751
4 Na 0.891 0.109 0.000
5 Y 0.155 0.635 0.691
6 Y 0.635 0.155 0.191
7 Zr 0.365 0.850 0.300
8 Zr 0.850 0.365 0.800
9 P 0.047 0.238 0.486
10 P 0.238 0.047 0.986
11 P 0.455 0.560 0.497
12 P 0.560 0.455 0.997
13 P 0.749 0.965 0.504
14 P 0.965 0.749 0.004
15 O 0.066 0.221 0.983
16 O 0.082 0.395 0.506
17 O 0.128 0.782 0.168
18 O 0.201 0.896 0.821
19 O 0.221 0.066 0.483
20 O 0.273 0.998 0.141
21 O 0.277 0.601 0.513
22 O 0.395 0.082 0.006
23 O 0.403 0.481 0.837
24 O 0.441 0.732 0.487
25 O 0.481 0.403 0.337
26 O 0.517 0.619 0.157
27 O 0.580 0.944 0.482
28 O 0.601 0.277 0.013
29 O 0.619 0.517 0.657
30 O 0.725 0.999 0.350
31 O 0.732 0.441 0.987
32 O 0.782 0.128 0.668
33 O 0.792 0.914 0.017
34 O 0.896 0.201 0.321
35 O 0.914 0.792 0.517
36 O 0.944 0.580 0.982
37 O 0.998 0.273 0.641
38 O 0.999 0.725 0.850

Principal peaks in the range 2θ = 10–90°, sorted by position:
d = 6.564 Å, 13.49 deg, I = 43; d = 4.708 Å, 18.85 deg, I = 77; d = 4.574 Å, 19.41 deg, I = 64; d = 4.539 Å, 19.56 deg, I = 38; d = 3.951 Å, 22.50 deg, I = 59; d = 3.928 Å, 22.64 deg, I = 34; d = 3.280 Å, 27.19 deg, I = 56; d = 2.982 Å, 29.97 deg, I = 58; d = 2.969 Å, 30.10 deg, I = 100; d = 2.627 Å, 34.13 deg, I = 47